Record 1
# Sb8Pd2Pt
Calculated X-ray powder pattern, Cu Kα X-rays. Input: the PBE geometry in Alexandria.

Main lines, by angle (10° ≤ 2θ ≤ 90°):
2θ (°)  d_spacing  Rel. int.
15.47  5.727  48
27.30  3.267  46
30.08  2.971  55
32.68  2.740  100
32.85  2.726  46
34.43  2.605  37
34.94  2.568  39
42.48  2.128  29
42.66  2.120  36
45.79  1.982  47

abc: 5.603 6.834 7.941
angles: 74.65 87.23 78.18
Fractional positions:
Sb: 0.152 0.364 0.392
Sb: 0.205 0.827 0.743
Sb: 0.242 0.287 0.945
Sb: 0.275 0.913 0.242
Sb: 0.725 0.087 0.758
Sb: 0.758 0.713 0.055
Sb: 0.795 0.173 0.257
Sb: 0.848 0.636 0.608
Pd: 0.275 0.604 0.080
Pd: 0.725 0.396 0.920
Pt: 0.500 0.000 0.500

Record 2
# SbPd23Pt6
Calculated X-ray powder pattern, Cu Kα X-rays. Input: the PBE geometry in Alexandria.

Main lines, by angle (10° ≤ 2θ ≤ 90°):
2θ (°)  d_spacing  Rel. int.
11.24  7.874  4
15.95  5.557  5
19.55  4.540  6
37.95  2.371  3
39.70  2.270  100
46.17  1.966  49
67.36  1.390  31
81.04  1.187  12
81.17  1.185  25
85.56  1.135  11

abc: 9.637 9.637 9.637
angles: 131.87 131.87 70.43
Fractional positions:
Sb: 0.000 0.000 0.000
Pd: 0.000 0.000 0.500
Pd: 0.000 0.500 0.000
Pd: 0.000 0.500 0.500
Pd: 0.121 0.373 0.748
Pd: 0.124 0.872 0.253
Pd: 0.128 0.381 0.253
Pd: 0.128 0.876 0.747
Pd: 0.373 0.121 0.748
Pd: 0.373 0.624 0.252
Pd: 0.376 0.627 0.748
Pd: 0.381 0.128 0.253
Pd: 0.500 0.000 0.000
Pd: 0.500 0.000 0.500
Pd: 0.500 0.500 0.000
Pd: 0.500 0.500 0.500
Pd: 0.619 0.872 0.747
Pd: 0.624 0.373 0.252
Pd: 0.627 0.376 0.748
Pd: 0.627 0.879 0.252
Pd: 0.872 0.124 0.253
Pd: 0.872 0.619 0.747
Pd: 0.876 0.128 0.747
Pd: 0.879 0.627 0.252
Pt: 0.250 0.250 0.500
Pt: 0.250 0.750 0.000
Pt: 0.251 0.251 0.000
Pt: 0.749 0.749 0.000
Pt: 0.750 0.250 0.000
Pt: 0.750 0.750 0.500

Record 3
# Sb2Pd5Pt5
Calculated X-ray powder pattern, Cu Kα X-rays. Input: the PBE geometry in Alexandria.

Main lines, by angle (10° ≤ 2θ ≤ 90°):
2θ (°)  d_spacing  Rel. int.
38.65  2.330  100
38.92  2.314  98
44.26  2.047  34
45.42  1.997  32
45.57  1.990  31
65.28  1.429  21
65.41  1.427  22
77.68  1.229  13
77.85  1.227  13
79.18  1.210  12

abc: 6.313 6.313 8.960
angles: 115.38 115.38 37.83
Fractional positions:
Sb: 0.087 0.087 0.255
Sb: 0.913 0.913 0.745
Pd: 0.333 0.333 0.498
Pd: 0.417 0.417 0.250
Pd: 0.500 0.500 0.000
Pd: 0.583 0.583 0.750
Pd: 0.667 0.667 0.502
Pt: 0.000 0.000 0.500
Pt: 0.165 0.165 0.997
Pt: 0.250 0.250 0.753
Pt: 0.750 0.750 0.247
Pt: 0.835 0.835 0.003

Record 4
# Sb6Pd3Pt
Calculated X-ray powder pattern, Cu Kα X-rays. Input: the PBE geometry in Alexandria.

Main lines, by angle (10° ≤ 2θ ≤ 90°):
2θ (°)  d_spacing  Rel. int.
26.18  3.404  39
29.64  3.014  67
30.34  2.946  46
30.52  2.929  83
31.77  2.816  41
39.72  2.269  58
40.76  2.214  33
41.89  2.157  70
43.99  2.058  100
44.07  2.055  44

abc: 7.297 6.440 12.047
angles: 90.00 127.19 90.00
Fractional positions:
Sb: 0.066 0.027 0.249
Sb: 0.066 0.473 0.749
Sb: 0.260 0.147 0.591
Sb: 0.260 0.353 0.091
Sb: 0.420 0.648 0.591
Sb: 0.420 0.852 0.091
Sb: 0.580 0.148 0.909
Sb: 0.580 0.352 0.409
Sb: 0.740 0.647 0.909
Sb: 0.740 0.853 0.409
Sb: 0.934 0.527 0.251
Sb: 0.934 0.973 0.751
Pd: 0.293 0.677 0.255
Pd: 0.293 0.823 0.755
Pd: 0.500 0.000 0.500
Pd: 0.500 0.500 0.000
Pd: 0.707 0.177 0.245
Pd: 0.707 0.323 0.745
Pt: 0.000 0.000 0.000
Pt: 0.000 0.500 0.500